Starting from a structure optimized by DFT (PBE), the X-ray powder pattern of KH3C2O3 was simulated for Cu Kα X-rays.
Lines closer than 0.1° are merged.

Most intense lines, 2θ from 15° to 90°, by angle:
2θ = 17.83°, I 38.9; 2θ = 25.69°, I 36.8; 2θ = 27.64°, I 21.1; 2θ = 28.76°, I 31.0; 2θ = 29.05°, I 100.0; 2θ = 29.17°, I 40.9; 2θ = 31.11°, I 26.2; 2θ = 31.63°, I 36.0; 2θ = 33.82°, I 40.0; 2θ = 44.45°, I 22.4

Cell and atoms:
Cell lengths 3.8941, 5.7456, 10.0838 Å; angles 80.70, 89.82, 86.09 degrees
Atoms (fractional coordinates):
K (0.1312, 0.2149, 0.1230)
K (0.8688, 0.7851, 0.8770)
H (0.0295, 0.3334, 0.6141)
H (0.1874, 0.0460, 0.5815)
H (0.4366, 0.2969, 0.5350)
H (0.5634, 0.7031, 0.4650)
H (0.8126, 0.9540, 0.4185)
H (0.9705, 0.6666, 0.3859)
C (0.2584, 0.2128, 0.6098)
C (0.4958, 0.3374, 0.8068)
C (0.5042, 0.6626, 0.1932)
C (0.7416, 0.7872, 0.3902)
O (0.3404, 0.7333, 0.0841)
O (0.3976, 0.5443, 0.7540)
O (0.4211, 0.1494, 0.7398)
O (0.5789, 0.8506, 0.2602)
O (0.6024, 0.4557, 0.2460)
O (0.6596, 0.2667, 0.9159)

***

Starting from a structure optimized by DFT (PBE), the X-ray powder pattern of KH7C4O10 was simulated for Cu Kα X-rays.
Lines closer than 0.1° are merged.

Most intense lines, 2θ from 15° to 90°, by angle:
2θ = 18.10°, I 11.3; 2θ = 19.09°, I 9.1; 2θ = 27.03°, I 100.0; 2θ = 27.99°, I 11.7; 2θ = 30.42°, I 8.7; 2θ = 35.95°, I 8.5; 2θ = 36.75°, I 9.8; 2θ = 37.12°, I 7.1; 2θ = 38.28°, I 12.1; 2θ = 39.37°, I 7.5

Cell and atoms:
Cell lengths 6.8105, 7.1009, 10.7296 Å; angles 90.37, 104.30, 104.35 degrees
Atoms (fractional coordinates):
K (0.1502, 0.1549, 0.2698)
K (0.8498, 0.8451, 0.7302)
H (0.0892, 0.2801, 0.9305)
H (0.1289, 0.6640, 0.2215)
H (0.1446, 0.8092, 0.0594)
H (0.2247, 0.1739, 0.6010)
H (0.2457, 0.9605, 0.5699)
H (0.3665, 0.0550, 0.7507)
H (0.3715, 0.5511, 0.7503)
H (0.6285, 0.4489, 0.2497)
H (0.6335, 0.9450, 0.2493)
H (0.7543, 0.0395, 0.4301)
H (0.7753, 0.8261, 0.3990)
H (0.8554, 0.1908, 0.9406)
H (0.8711, 0.3360, 0.7785)
H (0.9108, 0.7199, 0.0695)
C (0.2354, 0.6752, 0.4126)
C (0.2814, 0.5507, 0.5307)
C (0.4157, 0.9832, 0.9348)
C (0.4834, 0.4552, 0.0635)
C (0.5166, 0.5448, 0.9365)
C (0.5843, 0.0168, 0.0652)
C (0.7186, 0.4493, 0.4693)
C (0.7646, 0.3248, 0.5874)
O (0.0568, 0.7752, 0.1221)
O (0.1771, 0.5760, 0.3008)
O (0.2210, 0.0437, 0.6371)
O (0.2212, 0.3685, 0.5098)
O (0.2347, 0.8821, 0.9246)
O (0.2515, 0.8520, 0.4284)
O (0.3173, 0.3355, 0.0657)
O (0.3545, 0.4819, 0.8389)
O (0.3731, 0.6491, 0.6380)
O (0.4874, 0.0706, 0.8429)
O (0.5126, 0.9294, 0.1571)
O (0.6269, 0.3509, 0.3620)
O (0.6455, 0.5181, 0.1611)
O (0.6827, 0.6645, 0.9343)
O (0.7485, 0.1480, 0.5716)
O (0.7653, 0.1179, 0.0754)
O (0.7788, 0.6315, 0.4902)
O (0.7790, 0.9563, 0.3629)
O (0.8229, 0.4240, 0.6992)
O (0.9432, 0.2248, 0.8779)